The following is a calculated powder X-ray diffraction pattern of Y2TlCoCu. It was derived from a structure optimized by DFT (PBE), using λ = 1.5418 Å (Cu Kα).
Intensities are scaled so that the largest is 100.

Crystal structure
a = 3.7291 Å, b = 7.4312 Å, c = 7.4312 Å
α = 30.92°, β = 90.00°, γ = 90.00°
Element x y z (fractional)
Y (0.0000, 0.0000, 0.0000)
Y (0.0000, 0.2771, 0.2771)
Tl (0.5000, 0.6332, 0.6332)
Co (0.5000, 0.4348, 0.4348)
Cu (0.5000, 0.8382, 0.8382)

The 8 most intense peaks (15 to 90 degrees two-theta), in order of falling intensity:
Position (°2θ), d/Å, Rel. int.
33.59, 2.668, 100
34.73, 2.583, 62
38.79, 2.321, 41
29.29, 3.049, 36
58.74, 1.572, 27
46.06, 1.971, 23
45.81, 1.981, 22
64.05, 1.454, 18

---

The following is a calculated powder X-ray diffraction pattern of Y2Co14Cu3. It was derived from a structure optimized by DFT (PBE), using λ = 1.5418 Å (Cu Kα).
Intensities are scaled so that the largest is 100.

Crystal structure
a = 8.3001 Å, b = 8.3001 Å, c = 8.1126 Å
α = 90.00°, β = 90.00°, γ = 120.00°
Element x y z (fractional)
Y (0.0000, 0.0000, 0.2500)
Y (0.0000, 0.0000, 0.7500)
Y (0.3333, 0.6667, 0.2500)
Y (0.6667, 0.3333, 0.7500)
Co (0.0471, 0.3740, 0.7500)
Co (0.0471, 0.6732, 0.7500)
Co (0.1618, 0.3236, 0.0160)
Co (0.1618, 0.3236, 0.4840)
Co (0.1618, 0.8382, 0.0160)
Co (0.1618, 0.8382, 0.4840)
Co (0.3236, 0.1618, 0.5160)
Co (0.3236, 0.1618, 0.9840)
Co (0.3268, 0.3740, 0.7500)
Co (0.3268, 0.9529, 0.7500)
Co (0.3333, 0.6667, 0.6096)
Co (0.3333, 0.6667, 0.8904)
Co (0.3740, 0.0471, 0.2500)
Co (0.3740, 0.3268, 0.2500)
Co (0.6260, 0.6732, 0.7500)
Co (0.6260, 0.9529, 0.7500)
Co (0.6667, 0.3333, 0.1096)
Co (0.6667, 0.3333, 0.3904)
Co (0.6732, 0.0471, 0.2500)
Co (0.6732, 0.6260, 0.2500)
Co (0.6764, 0.8382, 0.0160)
Co (0.6764, 0.8382, 0.4840)
Co (0.8382, 0.1618, 0.5160)
Co (0.8382, 0.1618, 0.9840)
Co (0.8382, 0.6764, 0.5160)
Co (0.8382, 0.6764, 0.9840)
Co (0.9529, 0.3268, 0.2500)
Co (0.9529, 0.6260, 0.2500)
Cu (0.0000, 0.5000, 0.0000)
Cu (0.0000, 0.5000, 0.5000)
Cu (0.5000, 0.0000, 0.0000)
Cu (0.5000, 0.0000, 0.5000)
Cu (0.5000, 0.5000, 0.0000)
Cu (0.5000, 0.5000, 0.5000)

The 8 most intense peaks (15 to 90 degrees two-theta), in order of falling intensity:
Position (°2θ), d/Å, Rel. int.
43.89, 2.063, 100
43.62, 2.075, 67
49.33, 1.847, 53
44.68, 2.028, 38
41.80, 2.161, 37
37.54, 2.396, 31
30.82, 2.901, 21
81.79, 1.178, 18

---

The following is a calculated powder X-ray diffraction pattern of Zn6CoCu. It was derived from a structure optimized by DFT (PBE), using λ = 1.5418 Å (Cu Kα).
Intensities are scaled so that the largest is 100.

Crystal structure
a = 4.2508 Å, b = 5.2884 Å, c = 4.7441 Å
α = 90.00°, β = 90.00°, γ = 90.00°
Element x y z (fractional)
Zn (0.0000, 0.0000, 0.0000)
Zn (0.0000, 0.2475, 0.4769)
Zn (0.0000, 0.7525, 0.4769)
Zn (0.5000, 0.2428, 0.8054)
Zn (0.5000, 0.5000, 0.2946)
Zn (0.5000, 0.7572, 0.8054)
Co (0.5000, 0.0000, 0.3080)
Cu (0.0000, 0.5000, 0.9813)

The 8 most intense peaks (15 to 90 degrees two-theta), in order of falling intensity:
Position (°2θ), d/Å, Rel. int.
44.65, 2.029, 100
43.70, 2.071, 61
42.53, 2.125, 41
39.00, 2.310, 30
84.75, 1.144, 19
69.23, 1.357, 17
59.07, 1.564, 17
79.33, 1.208, 16

---

The following is a calculated powder X-ray diffraction pattern of Dy5Co2. It was derived from a structure optimized by DFT (PBE), using λ = 1.5418 Å (Cu Kα).
Intensities are scaled so that the largest is 100.

Crystal structure
a = 8.5500 Å, b = 8.5500 Å, c = 6.8993 Å
α = 96.29°, β = 96.29°, γ = 42.99°
Element x y z (fractional)
Dy (0.0699, 0.9301, 0.7500)
Dy (0.1469, 0.2840, 0.3155)
Dy (0.2840, 0.1469, 0.8155)
Dy (0.2979, 0.5123, 0.0864)
Dy (0.4877, 0.7021, 0.4136)
Dy (0.5123, 0.2979, 0.5864)
Dy (0.7021, 0.4877, 0.9136)
Dy (0.7160, 0.8531, 0.1845)
Dy (0.8531, 0.7160, 0.6845)
Dy (0.9301, 0.0699, 0.2500)
Co (0.1002, 0.6769, 0.4276)
Co (0.3231, 0.8998, 0.0724)
Co (0.6769, 0.1002, 0.9276)
Co (0.8998, 0.3231, 0.5724)

The 8 most intense peaks (15 to 90 degrees two-theta), in order of falling intensity:
Position (°2θ), d/Å, Rel. int.
31.71, 2.822, 100
31.40, 2.849, 62
29.65, 3.013, 56
55.24, 1.663, 42
32.74, 2.735, 38
33.98, 2.638, 37
36.66, 2.451, 37
35.90, 2.502, 32

---

The following is a calculated powder X-ray diffraction pattern of Dy2Co7. It was derived from a structure optimized by DFT (PBE), using λ = 1.5418 Å (Cu Kα).
Intensities are scaled so that the largest is 100.

Crystal structure
a = 12.3174 Å, b = 12.3174 Å, c = 12.3174 Å
α = 23.14°, β = 23.14°, γ = 23.14°
Element x y z (fractional)
Dy (0.0515, 0.0515, 0.0515)
Dy (0.1482, 0.1482, 0.1482)
Dy (0.8518, 0.8518, 0.8518)
Dy (0.9485, 0.9485, 0.9485)
Co (0.0000, 0.5000, 0.5000)
Co (0.1082, 0.6096, 0.6096)
Co (0.2787, 0.2787, 0.2787)
Co (0.3884, 0.3884, 0.3884)
Co (0.3904, 0.3904, 0.8918)
Co (0.3904, 0.8918, 0.3904)
Co (0.5000, 0.0000, 0.5000)
Co (0.5000, 0.5000, 0.0000)
Co (0.5000, 0.5000, 0.5000)
Co (0.6096, 0.1082, 0.6096)
Co (0.6096, 0.6096, 0.1082)
Co (0.6116, 0.6116, 0.6116)
Co (0.7213, 0.7213, 0.7213)
Co (0.8918, 0.3904, 0.3904)

The 8 most intense peaks (15 to 90 degrees two-theta), in order of falling intensity:
Position (°2θ), d/Å, Rel. int.
43.05, 2.101, 100
36.36, 2.471, 51
32.53, 2.753, 45
42.31, 2.136, 35
34.53, 2.597, 33
70.04, 1.343, 22
77.22, 1.235, 20
45.42, 1.997, 15

---

The following is a calculated powder X-ray diffraction pattern of Dy2Co17. It was derived from a structure optimized by DFT (PBE), using λ = 1.5418 Å (Cu Kα).
Intensities are scaled so that the largest is 100.

Crystal structure
a = 8.2484 Å, b = 8.2484 Å, c = 8.0487 Å
α = 90.00°, β = 90.00°, γ = 120.00°
Element x y z (fractional)
Dy (0.0000, 0.0000, 0.2500)
Dy (0.0000, 0.0000, 0.7500)
Dy (0.3333, 0.6667, 0.2500)
Dy (0.6667, 0.3333, 0.7500)
Co (0.0000, 0.5000, 0.0000)
Co (0.0000, 0.5000, 0.5000)
Co (0.0462, 0.3749, 0.7500)
Co (0.0462, 0.6713, 0.7500)
Co (0.1664, 0.3328, 0.0216)
Co (0.1664, 0.3328, 0.4784)
Co (0.1664, 0.8336, 0.0216)
Co (0.1664, 0.8336, 0.4784)
Co (0.3287, 0.3749, 0.7500)
Co (0.3287, 0.9538, 0.7500)
Co (0.3328, 0.1664, 0.5216)
Co (0.3328, 0.1664, 0.9784)
Co (0.3333, 0.6667, 0.6061)
Co (0.3333, 0.6667, 0.8939)
Co (0.3749, 0.0462, 0.2500)
Co (0.3749, 0.3287, 0.2500)
Co (0.5000, 0.0000, 0.0000)
Co (0.5000, 0.0000, 0.5000)
Co (0.5000, 0.5000, 0.0000)
Co (0.5000, 0.5000, 0.5000)
Co (0.6251, 0.6713, 0.7500)
Co (0.6251, 0.9538, 0.7500)
Co (0.6667, 0.3333, 0.1061)
Co (0.6667, 0.3333, 0.3939)
Co (0.6672, 0.8336, 0.0216)
Co (0.6672, 0.8336, 0.4784)
Co (0.6713, 0.0462, 0.2500)
Co (0.6713, 0.6251, 0.2500)
Co (0.8336, 0.1664, 0.5216)
Co (0.8336, 0.1664, 0.9784)
Co (0.8336, 0.6672, 0.5216)
Co (0.8336, 0.6672, 0.9784)
Co (0.9538, 0.3287, 0.2500)
Co (0.9538, 0.6251, 0.2500)

The 8 most intense peaks (15 to 90 degrees two-theta), in order of falling intensity:
Position (°2θ), d/Å, Rel. int.
44.20, 2.049, 100
43.91, 2.062, 64
31.05, 2.880, 42
37.78, 2.381, 41
42.12, 2.145, 40
45.06, 2.012, 32
49.68, 1.835, 18
82.54, 1.169, 18

---

The following is a calculated powder X-ray diffraction pattern of Dy2ErCo9. It was derived from a structure optimized by DFT (PBE), using λ = 1.5418 Å (Cu Kα).
Intensities are scaled so that the largest is 100.

Crystal structure
a = 8.5624 Å, b = 8.5624 Å, c = 8.5624 Å
α = 33.47°, β = 33.47°, γ = 33.47°
Element x y z (fractional)
Dy (0.1397, 0.1397, 0.1397)
Dy (0.8603, 0.8603, 0.8603)
Er (0.0000, 0.0000, 0.0000)
Co (0.0792, 0.5819, 0.5819)
Co (0.3345, 0.3345, 0.3345)
Co (0.4181, 0.4181, 0.9208)
Co (0.4181, 0.9208, 0.4181)
Co (0.5000, 0.5000, 0.5000)
Co (0.5819, 0.0792, 0.5819)
Co (0.5819, 0.5819, 0.0792)
Co (0.6655, 0.6655, 0.6655)
Co (0.9208, 0.4181, 0.4181)

The 8 most intense peaks (15 to 90 degrees two-theta), in order of falling intensity:
Position (°2θ), d/Å, Rel. int.
42.99, 2.104, 100
36.41, 2.467, 91
33.32, 2.689, 49
42.50, 2.127, 36
65.56, 1.424, 23
46.43, 1.956, 22
70.10, 1.342, 20
77.42, 1.233, 19

---

The following is a calculated powder X-ray diffraction pattern of DyEr2Co9. It was derived from a structure optimized by DFT (PBE), using λ = 1.5418 Å (Cu Kα).
Intensities are scaled so that the largest is 100.

Crystal structure
a = 8.5473 Å, b = 8.5473 Å, c = 8.5473 Å
α = 33.49°, β = 33.49°, γ = 33.49°
Element x y z (fractional)
Dy (0.0000, 0.0000, 0.0000)
Er (0.1399, 0.1399, 0.1399)
Er (0.8601, 0.8601, 0.8601)
Co (0.0796, 0.5827, 0.5827)
Co (0.3342, 0.3342, 0.3342)
Co (0.4173, 0.4173, 0.9204)
Co (0.4173, 0.9204, 0.4173)
Co (0.5000, 0.5000, 0.5000)
Co (0.5827, 0.0796, 0.5827)
Co (0.5827, 0.5827, 0.0796)
Co (0.6658, 0.6658, 0.6658)
Co (0.9204, 0.4173, 0.4173)

The 8 most intense peaks (15 to 90 degrees two-theta), in order of falling intensity:
Position (°2θ), d/Å, Rel. int.
43.04, 2.102, 100
36.46, 2.464, 91
33.38, 2.685, 49
42.55, 2.125, 36
46.50, 1.953, 23
65.64, 1.422, 23
70.18, 1.341, 21
45.03, 2.013, 20

---

Repeat the third record exactly.
The following is a calculated powder X-ray diffraction pattern of Zn6CoCu. It was derived from a structure optimized by DFT (PBE), using λ = 1.5418 Å (Cu Kα).
Intensities are scaled so that the largest is 100.

Crystal structure
a = 4.2508 Å, b = 5.2884 Å, c = 4.7441 Å
α = 90.00°, β = 90.00°, γ = 90.00°
Element x y z (fractional)
Zn (0.0000, 0.0000, 0.0000)
Zn (0.0000, 0.2475, 0.4769)
Zn (0.0000, 0.7525, 0.4769)
Zn (0.5000, 0.2428, 0.8054)
Zn (0.5000, 0.5000, 0.2946)
Zn (0.5000, 0.7572, 0.8054)
Co (0.5000, 0.0000, 0.3080)
Cu (0.0000, 0.5000, 0.9813)

The 8 most intense peaks (15 to 90 degrees two-theta), in order of falling intensity:
Position (°2θ), d/Å, Rel. int.
44.65, 2.029, 100
43.70, 2.071, 61
42.53, 2.125, 41
39.00, 2.310, 30
84.75, 1.144, 19
69.23, 1.357, 17
59.07, 1.564, 17
79.33, 1.208, 16

---

Repeat the eighth record exactly.
The following is a calculated powder X-ray diffraction pattern of DyEr2Co9. It was derived from a structure optimized by DFT (PBE), using λ = 1.5418 Å (Cu Kα).
Intensities are scaled so that the largest is 100.

Crystal structure
a = 8.5473 Å, b = 8.5473 Å, c = 8.5473 Å
α = 33.49°, β = 33.49°, γ = 33.49°
Element x y z (fractional)
Dy (0.0000, 0.0000, 0.0000)
Er (0.1399, 0.1399, 0.1399)
Er (0.8601, 0.8601, 0.8601)
Co (0.0796, 0.5827, 0.5827)
Co (0.3342, 0.3342, 0.3342)
Co (0.4173, 0.4173, 0.9204)
Co (0.4173, 0.9204, 0.4173)
Co (0.5000, 0.5000, 0.5000)
Co (0.5827, 0.0796, 0.5827)
Co (0.5827, 0.5827, 0.0796)
Co (0.6658, 0.6658, 0.6658)
Co (0.9204, 0.4173, 0.4173)

The 8 most intense peaks (15 to 90 degrees two-theta), in order of falling intensity:
Position (°2θ), d/Å, Rel. int.
43.04, 2.102, 100
36.46, 2.464, 91
33.38, 2.685, 49
42.55, 2.125, 36
46.50, 1.953, 23
65.64, 1.422, 23
70.18, 1.341, 21
45.03, 2.013, 20